No. 1
Starting from a GGA-PBE-relaxed structure, the X-ray diffraction stick pattern of Dy2SnS5 was simulated for Cu Kα, 1.54184 Å.
Intensities are scaled so that the largest is 100.

Crystal structure
Unit cell a=7.7402 b=11.3580 c=3.8208 alpha=90.00 beta=90.00 gamma=90.00
Positions (direct):
Dy 0.0323 0.1722 0.0000
Dy 0.4677 0.6722 0.0000
Dy 0.5323 0.3278 0.0000
Dy 0.9677 0.8278 0.0000
Sn 0.0000 0.5000 0.5000
Sn 0.5000 0.0000 0.5000
S 0.0000 0.0000 0.5000
S 0.1716 0.4023 0.0000
S 0.1752 0.6961 0.5000
S 0.3248 0.1961 0.5000
S 0.3284 0.9023 0.0000
S 0.5000 0.5000 0.5000
S 0.6716 0.0977 0.0000
S 0.6752 0.8039 0.5000
S 0.8248 0.3039 0.5000
S 0.8284 0.5977 0.0000

Top 12 peaks for 15° ≤ 2θ ≤ 90°, low angle first:
(2 0 0), 2θ 22.98, rel. 71.7
(1 3 0), 2θ 26.20, rel. 100.0
(1 1 1), 2θ 27.19, rel. 65.6
(0 2 1), 2θ 28.15, rel. 42.3
(2 1 1), 2θ 33.90, rel. 29.5
(1 3 1), 2θ 35.33, rel. 40.3
(2 2 1), 2θ 36.64, rel. 82.8
(0 4 1), 2θ 39.54, rel. 29.4
(3 3 0), 2θ 42.40, rel. 37.7
(0 0 2), 2θ 47.62, rel. 38.7
(0 6 0), 2θ 48.06, rel. 50.7
(1 3 2), 2θ 55.14, rel. 27.5

=====

No. 2
Starting from a GGA-PBE-relaxed structure, the X-ray diffraction stick pattern of SrDy2S4 was simulated for Cu Kα, 1.54184 Å.
Intensities are scaled so that the largest is 100.

Crystal structure
Unit cell a=12.0015 b=4.0023 c=14.3785 alpha=90.00 beta=90.00 gamma=90.00
Positions (direct):
Sr 0.2430 0.2500 0.1613
Sr 0.2570 0.7500 0.6613
Sr 0.7430 0.2500 0.3387
Sr 0.7570 0.7500 0.8387
Dy 0.0704 0.2500 0.3904
Dy 0.0795 0.2500 0.8986
Dy 0.4205 0.7500 0.3986
Dy 0.4296 0.7500 0.8904
Dy 0.5704 0.2500 0.1096
Dy 0.5795 0.2500 0.6014
Dy 0.9205 0.7500 0.1014
Dy 0.9296 0.7500 0.6096
S 0.0206 0.7500 0.7842
S 0.0837 0.2500 0.5792
S 0.1315 0.7500 0.0255
S 0.2086 0.7500 0.3239
S 0.2914 0.2500 0.8239
S 0.3685 0.2500 0.5255
S 0.4163 0.7500 0.0792
S 0.4794 0.2500 0.2842
S 0.5206 0.7500 0.7158
S 0.5837 0.2500 0.9208
S 0.6315 0.7500 0.4745
S 0.7086 0.7500 0.1761
S 0.7914 0.2500 0.6761
S 0.8685 0.2500 0.9745
S 0.9163 0.7500 0.4208
S 0.9794 0.2500 0.2158

Top 12 peaks for 15° ≤ 2θ ≤ 90°, low angle first:
(0 0 4), 2θ 24.77, rel. 45.8
(3 0 2), 2θ 25.48, rel. 100.0
(1 1 2), 2θ 26.55, rel. 88.4
(2 1 0), 2θ 26.77, rel. 44.1
(1 1 3), 2θ 30.03, rel. 21.4
(2 1 4), 2θ 36.81, rel. 59.7
(4 1 0), 2θ 37.47, rel. 38.6
(0 2 0), 2θ 45.32, rel. 41.7
(4 1 4), 2θ 45.43, rel. 34.5
(5 1 2), 2θ 45.85, rel. 24.0
(6 0 4), 2θ 52.33, rel. 28.0
(3 2 2), 2θ 52.71, rel. 29.9